Calculated powder XRD pattern of Eu8C4I9N7 for Cu Kα, from the GGA-PBE geometry in the Materials Project.
Intensities are scaled so that the largest is 100.

Principal peaks in the range 10° ≤ 2θ ≤ 90°, low angle first:
- hkl 2 0 0, 19.30 deg, I = 29
- hkl 2 0 1, 22.45 deg, I = 50
- hkl 0 0 2, 22.81 deg, I = 33
- hkl 2 1 1, 28.11 deg, I = 69
- hkl 3 0 0, 29.13 deg, I = 24
- hkl 0 2 2, 30.05 deg, I = 100
- hkl 3 0 1, 31.36 deg, I = 85
- hkl 2 2 0, 33.76 deg, I = 70
- hkl 0 0 3, 34.56 deg, I = 55
- hkl 0 3 3, 45.79 deg, I = 33
- hkl 1 4 1, 46.74 deg, I = 25
- hkl 5 2 1, 64.39 deg, I = 26

Atomic structure:
Cell: 10.6189 10.6189 7.7969 Å, 90.00 90.00 120.00°
Space group P3m1 (No. 156)
Asymmetric unit:
Eu: 0.0000 0.0000 0.0000 x1
Eu: 0.0689 0.5344 0.9286 x3
Eu: 0.2714 0.1357 0.3988 x3
Eu: 0.3333 0.6667 0.3231 x1
C: 0.1658 0.3316 0.1724 x3
C: 0.3333 0.6667 0.6505 x1
I: 0.1308 0.2617 0.6983 x3
I: 0.4063 0.2031 0.0034 x3
I: 0.5178 0.0357 0.4608 x3
N: 0.1032 0.2064 0.2312 x3
N: 0.2284 0.4568 0.1130 x3
N: 0.3333 0.6667 0.8029 x1